(1)
The following is a calculated powder diffraction line list of K3Ni2F7. It was derived from a DFT-relaxed cell (PBE+U, Alexandria), using CuKα.
Intensities are scaled so that the largest is 100.

Cell and atoms:
abc: 5.751 5.751 11.036
angles: 90.00 105.07 90.00
Space group C2/m (No. 12)
One atom of each set of equivalent atoms:
K (0.000, 0.000, 0.000) (multiplicity 2)
K (0.185, 0.000, 0.371) (multiplicity 4)
Ni (0.096, 0.500, 0.192) (multiplicity 4)
F (0.000, 0.500, 0.000) (multiplicity 2)
F (0.155, 0.250, 0.810) (multiplicity 8)
F (0.190, 0.500, 0.382) (multiplicity 4)

Main lines, sorted by position (2θ from 5° to 70°):
d [Å]  two_theta  intensity  (hkl)
10.656  8.30  38  0 0 1
5.328  16.64  30  0 0 2
3.995  22.25  30  1 1 0
2.942  30.38  100  1 1 -3
2.876  31.10  75  0 2 0
2.131  42.41  32  0 0 5
2.033  44.56  71  2 2 -1
1.712  53.52  20  2 0 -6
1.673  54.89  35  3 1 -4
1.471  63.20  33  2 2 -6

***

(2)
The following is a calculated powder diffraction line list of K2Ni3F10. It was derived from a DFT-relaxed cell (PBE+U, Alexandria), using CuKα.
Intensities are scaled so that the largest is 100.

Cell and atoms:
abc: 18.645 6.050 7.771
angles: 90.00 112.99 90.00
Space group C2/m (No. 12)
One atom of each set of equivalent atoms:
K (0.112, 0.000, 0.223) (multiplicity 4)
K (0.213, 0.000, 0.824) (multiplicity 4)
Ni (0.000, 0.245, 0.500) (multiplicity 4)
Ni (0.077, 0.500, 0.969) (multiplicity 4)
Ni (0.180, 0.500, 0.518) (multiplicity 4)
F (0.000, 0.295, 0.000) (multiplicity 4)
F (0.019, 0.000, 0.681) (multiplicity 4)
F (0.022, 0.500, 0.695) (multiplicity 4)
F (0.113, 0.264, 0.527) (multiplicity 8)
F (0.132, 0.500, 0.250) (multiplicity 4)
F (0.143, 0.277, 0.971) (multiplicity 8)
F (0.236, 0.500, 0.768) (multiplicity 4)
F (0.250, 0.250, 0.500) (multiplicity 4)

Main lines, sorted by position (2θ from 5° to 70°):
d [Å]  two_theta  intensity  (hkl)
5.706  15.53  58  1 1 0
3.577  24.89  57  0 0 2
3.222  27.69  100  3 1 1
3.197  27.91  52  3 1 -2
3.167  28.18  47  5 1 -1
3.107  28.73  78  6 0 -1
2.310  38.99  36  0 2 2
2.167  41.67  76  6 2 -1
1.817  50.20  36  8 2 -2
1.405  66.55  32  8 2 2

***

(3)
The following is a calculated powder diffraction line list of K2PmNiF8. It was derived from a DFT-relaxed cell (PBE+U, Alexandria), using CuKα.
Intensities are scaled so that the largest is 100.

Cell and atoms:
abc: 4.359 7.161 6.107
angles: 90.00 95.54 90.00
Space group P2/m (No. 10)
One atom of each set of equivalent atoms:
K (0.000, 0.232, 0.000) (multiplicity 2)
Pm (0.500, 0.500, 0.500) (multiplicity 1)
Ni (0.500, 0.000, 0.500) (multiplicity 1)
F (0.043, 0.500, 0.284) (multiplicity 2)
F (0.135, 0.000, 0.324) (multiplicity 2)
F (0.415, 0.221, 0.694) (multiplicity 4)

Main lines, sorted by position (2θ from 5° to 70°):
d [Å]  two_theta  intensity  (hkl)
6.078  14.57  100  0 0 1
4.338  20.47  23  1 0 0
3.705  24.02  90  1 0 -1
3.380  26.37  66  1 0 1
3.085  28.94  100  0 2 1
2.761  32.42  22  1 2 0
2.169  41.64  27  2 0 0
2.109  42.88  74  1 2 -2
1.984  45.74  47  1 2 2
1.790  51.01  21  0 4 0

***

(4)
The following is a calculated powder diffraction line list of K2PrNiF8. It was derived from a DFT-relaxed cell (PBE+U, Alexandria), using CuKα.
Intensities are scaled so that the largest is 100.

Cell and atoms:
abc: 4.332 7.264 6.099
angles: 90.00 95.63 90.00
Space group P2/m (No. 10)
One atom of each set of equivalent atoms:
K (0.000, 0.230, 0.000) (multiplicity 2)
Pr (0.500, 0.500, 0.500) (multiplicity 1)
Ni (0.500, 0.000, 0.500) (multiplicity 1)
F (0.023, 0.500, 0.282) (multiplicity 2)
F (0.131, 0.000, 0.324) (multiplicity 2)
F (0.419, 0.218, 0.697) (multiplicity 4)

Main lines, sorted by position (2θ from 5° to 70°):
d [Å]  two_theta  intensity  (hkl)
6.070  14.59  93  0 0 1
4.311  20.60  21  1 0 0
3.690  24.12  77  1 0 -1
3.362  26.51  65  1 0 1
3.117  28.64  100  0 2 1
2.155  41.91  27  2 0 0
2.117  42.72  72  1 2 -2
1.987  45.65  36  1 2 2
1.816  50.24  39  0 4 0
1.767  51.73  26  0 2 3

***

(5)
The following is a calculated powder diffraction line list of KNiRhF6. It was derived from a DFT-relaxed cell (PBE+U, Alexandria), using CuKα.
Intensities are scaled so that the largest is 100.

Cell and atoms:
abc: 7.292 7.293 10.474
angles: 90.00 90.00 90.00
Space group Imma (No. 74)
One atom of each set of equivalent atoms:
K (0.000, 0.250, 0.089) (multiplicity 4)
Ni (0.250, 0.250, 0.750) (multiplicity 4)
Rh (0.000, 0.000, 0.500) (multiplicity 4)
F (0.000, 0.250, 0.419) (multiplicity 4)
F (0.000, 0.250, 0.821) (multiplicity 4)
F (0.207, 0.045, 0.622) (multiplicity 16)

Main lines, sorted by position (2θ from 5° to 70°):
d [Å]  two_theta  intensity  (hkl)
5.984  14.80  100  1 0 1
3.149  28.34  41  1 0 3
3.114  28.67  88  1 2 1
2.992  29.86  79  2 0 2
1.995  45.47  23  0 3 3
1.837  49.62  42  2 2 4
1.823  50.03  24  4 0 0
1.578  58.50  11  1 4 3
1.574  58.63  11  0 2 6
1.557  59.36  21  2 4 2

***

(6)
The following is a calculated powder diffraction line list of KNiSnF6. It was derived from a DFT-relaxed cell (PBE+U, Alexandria), using CuKα.
Intensities are scaled so that the largest is 100.

Cell and atoms:
abc: 5.6613 5.6613 11.1911
angles: 90.00 90.00 120.00
Space group P-31c (No. 163)
One atom of each set of equivalent atoms:
K (0.0000, 0.0000, 0.0000) (multiplicity 2)
Ni (0.3333, 0.6667, 0.2500) (multiplicity 2)
Sn (0.3333, 0.6667, 0.7500) (multiplicity 2)
F (0.0180, 0.3829, 0.1489) (multiplicity 12)

Main lines, sorted by position (2θ from 5° to 70°):
d [Å]  two_theta  intensity  (hkl)
5.596  15.84  74  0 0 2
4.903  18.09  23  1 0 0
3.688  24.13  100  1 0 2
2.831  31.61  37  1 1 0
2.526  35.54  47  1 1 2
2.245  40.16  20  2 0 2
1.990  45.59  69  1 1 4
1.759  51.98  23  2 1 2
1.634  56.29  23  3 0 0
1.557  59.34  16  2 -1 6

***

(7)
The following is a calculated powder diffraction line list of KTl2Ni2F7. It was derived from a DFT-relaxed cell (PBE+U, Alexandria), using CuKα.
Intensities are scaled so that the largest is 100.

Cell and atoms:
abc: 4.094 4.094 22.418
angles: 90.00 90.00 90.00
Space group I4/mmm (No. 139)
One atom of each set of equivalent atoms:
K (0.000, 0.000, 0.000) (multiplicity 2)
Tl (0.000, 0.000, 0.185) (multiplicity 4)
Ni (0.000, 0.000, 0.409) (multiplicity 4)
F (0.000, 0.000, 0.319) (multiplicity 4)
F (0.000, 0.000, 0.500) (multiplicity 2)
F (0.000, 0.500, 0.090) (multiplicity 8)

Main lines, sorted by position (2θ from 5° to 70°):
d [Å]  two_theta  intensity  (hkl)
11.209  7.89  42  0 0 2
3.591  24.80  61  1 0 3
3.023  29.55  100  1 0 5
2.895  30.89  62  1 1 0
2.803  31.93  33  0 0 8
2.289  39.37  27  1 1 6
2.047  44.24  37  2 0 0
2.014  45.02  24  1 1 8
1.778  51.38  19  2 1 3
1.695  54.10  38  2 1 5

***

(8)
The following is a calculated powder diffraction line list of KYNiF6. It was derived from a DFT-relaxed cell (PBE+U, Alexandria), using CuKα.
Intensities are scaled so that the largest is 100.

Cell and atoms:
abc: 7.141 7.551 10.219
angles: 90.00 90.00 90.00
Space group Imma (No. 74)
One atom of each set of equivalent atoms:
K (0.000, 0.250, 0.085) (multiplicity 4)
Y (0.000, 0.000, 0.500) (multiplicity 4)
Ni (0.250, 0.250, 0.750) (multiplicity 4)
F (0.000, 0.250, 0.386) (multiplicity 4)
F (0.000, 0.250, 0.658) (multiplicity 4)
F (0.229, 0.055, 0.884) (multiplicity 16)

Main lines, sorted by position (2θ from 5° to 70°):
d [Å]  two_theta  intensity  (hkl)
6.073  14.59  83  0 1 1
5.853  15.14  94  1 0 1
3.173  28.13  68  1 2 1
3.105  28.75  35  0 1 3
3.077  29.02  88  2 1 1
3.036  29.42  76  0 2 2
2.927  30.54  82  2 0 2
2.384  37.73  54  1 2 3
2.024  44.77  30  0 3 3
1.820  50.11  100  2 2 4